No. 1
# La2PrCu2Si2Ge2Pd2
Computed XRD peak list, Cu Kα X-rays. Input: DFT lattice parameters and positions (PBE).
Lines closer than 0.1° are merged.

Structural model:
```
data_La2PrCu2Si2Ge2Pd2
_chemical_formula_sum 'La4 Pr2 Cu4 Si4 Ge4 Pd4'
_symmetry_space_group_name_H-M 'I m m m'
_symmetry_Int_Tables_number 71
_symmetry_space_group_name_Hall '-I 2 2'
_cell_length_a 4.226
_cell_length_b 4.331
_cell_length_c 24.508
_cell_angle_alpha 90.00
_cell_angle_beta 90.00
_cell_angle_gamma 90.00
loop_
_atom_site_label
_atom_site_type_symbol
_atom_site_fract_x
_atom_site_fract_y
_atom_site_fract_z
La1 La 0.000 0.000 0.146
Pr1 Pr 0.000 0.500 0.500
Cu1 Cu 0.000 0.000 0.407
Si1 Si 0.000 0.500 0.049
Ge1 Ge 0.000 0.000 0.307
Pd1 Pd 0.000 0.500 0.251
```

Top 10 peaks for 2θ = 10–90°, by angle:
2θ = 32.9°, intensity 38.5, (0 1 7); 2θ = 33.0°, intensity 100.0, (1 1 4); 2θ = 41.7°, intensity 26.4, (0 2 0); 2θ = 42.0°, intensity 12.2, (1 1 8); 2θ = 42.8°, intensity 24.5, (2 0 0); 2θ = 46.1°, intensity 16.7, (1 0 11); 2θ = 55.0°, intensity 17.5, (2 1 7); 2θ = 61.3°, intensity 16.5, (2 2 0); 2θ = 63.9°, intensity 12.2, (1 2 11); 2θ = 70.6°, intensity 14.7, (1 3 4)

No. 2
# La2PrCu2Si2Ge2Pd2
Computed XRD peak list, Cu Kα X-rays. Input: DFT lattice parameters and positions (PBE).
Lines closer than 0.1° are merged.

Structural model:
```
data_La2PrCu2Si2Ge2Pd2
_chemical_formula_sum 'La4 Pr2 Cu4 Si4 Ge4 Pd4'
_symmetry_space_group_name_H-M 'I m m m'
_symmetry_Int_Tables_number 71
_symmetry_space_group_name_Hall '-I 2 2'
_cell_length_a 4.254
_cell_length_b 4.288
_cell_length_c 24.533
_cell_angle_alpha 90.00
_cell_angle_beta 90.00
_cell_angle_gamma 90.00
loop_
_atom_site_label
_atom_site_type_symbol
_atom_site_fract_x
_atom_site_fract_y
_atom_site_fract_z
La1 La 0.000 0.000 0.149
Pr1 Pr 0.000 0.500 0.500
Cu1 Cu 0.000 0.000 0.401
Si1 Si 0.000 0.000 0.303
Ge1 Ge 0.000 0.500 0.051
Pd1 Pd 0.000 0.500 0.251
```

Top 10 peaks for 2θ = 10–90°, by angle:
2θ = 33.0°, intensity 100.0, (1 1 4); 2θ = 39.3°, intensity 13.9, (1 0 9); 2θ = 42.1°, intensity 17.5, (0 2 0); 2θ = 42.5°, intensity 17.0, (2 0 0); 2θ = 45.9°, intensity 10.2, (1 0 11); 2θ = 54.8°, intensity 11.4, (2 1 7); 2θ = 58.9°, intensity 8.2, (1 2 9); 2θ = 61.4°, intensity 11.2, (2 2 0); 2θ = 68.6°, intensity 8.9, (1 1 16); 2θ = 71.3°, intensity 10.4, (1 3 4)

No. 3
# LaTbCu2Ge2
Computed XRD peak list, Cu Kα X-rays. Input: DFT lattice parameters and positions (PBE).
Lines closer than 0.1° are merged.

Structural model:
```
data_LaTbCu2Ge2
_chemical_formula_sum 'La1 Tb1 Cu2 Ge2'
_symmetry_space_group_name_H-M 'P 3 m 1'
_symmetry_Int_Tables_number 156
_symmetry_space_group_name_Hall 'P 3 -2"'
_cell_length_a 4.3296
_cell_length_b 4.3296
_cell_length_c 7.6966
_cell_angle_alpha 90.00
_cell_angle_beta 90.00
_cell_angle_gamma 120.00
loop_
_atom_site_label
_atom_site_type_symbol
_atom_site_fract_x
_atom_site_fract_y
_atom_site_fract_z
La1 La 0.0000 0.0000 0.0000
Tb1 Tb 0.0000 0.0000 0.4961
Cu1 Cu 0.3333 0.6667 0.2887
Cu2 Cu 0.6667 0.3333 0.7323
Ge1 Ge 0.3333 0.6667 0.7143
Ge2 Ge 0.6667 0.3333 0.2417
```

Top 10 peaks for 2θ = 10–90°, by angle:
2θ = 23.7°, intensity 14.1, (1 0 0); 2θ = 33.4°, intensity 100.0, (1 0 2); 2θ = 41.7°, intensity 49.3, (1 1 0); 2θ = 47.2°, intensity 9.1, (0 0 4); 2θ = 53.5°, intensity 5.2, (0 1 4); 2θ = 54.4°, intensity 24.4, (0 2 2); 2θ = 64.8°, intensity 20.6, (1 1 4); 2θ = 70.9°, intensity 21.8, (2 1 2); 2θ = 76.2°, intensity 8.0, (3 0 0); 2θ = 78.9°, intensity 6.5, (1 0 6)

No. 4
# LiCu5Ge2
Computed XRD peak list, Cu Kα X-rays. Input: DFT lattice parameters and positions (PBE).
Lines closer than 0.1° are merged.

Structural model:
```
data_LiCu5Ge2
_chemical_formula_sum 'Li1 Cu5 Ge2'
_symmetry_space_group_name_H-M 'P 4/m m m'
_symmetry_Int_Tables_number 123
_symmetry_space_group_name_Hall '-P 4 2'
_cell_length_a 4.172
_cell_length_b 4.172
_cell_length_c 5.905
_cell_angle_alpha 90.00
_cell_angle_beta 90.00
_cell_angle_gamma 90.00
loop_
_atom_site_label
_atom_site_type_symbol
_atom_site_fract_x
_atom_site_fract_y
_atom_site_fract_z
Li1 Li 0.000 0.000 0.000
Cu1 Cu 0.000 0.500 0.249
Cu2 Cu 0.500 0.500 0.500
Ge1 Ge 0.000 0.000 0.500
Ge2 Ge 0.500 0.500 0.000
```

Top 10 peaks for 2θ = 10–90°, by angle:
2θ = 15.0°, intensity 3.7, (0 0 1); 2θ = 21.3°, intensity 3.6, (1 0 0); 2θ = 26.2°, intensity 6.1, (1 0 1); 2θ = 30.3°, intensity 1.5, (1 1 0); 2θ = 34.0°, intensity 2.3, (1 1 1); 2θ = 37.3°, intensity 1.7, (1 0 2); 2θ = 43.4°, intensity 100.0, (2 0 0); 2θ = 51.3°, intensity 2.9, (2 1 1); 2θ = 63.0°, intensity 15.4, (2 2 0); 2θ = 79.6°, intensity 30.1, (3 1 2)

No. 5
# LuSc2Cu4Ge4
Computed XRD peak list, Cu Kα X-rays. Input: DFT lattice parameters and positions (PBE).
Lines closer than 0.1° are merged.

Structural model:
```
data_LuSc2Cu4Ge4
_chemical_formula_sum 'Lu2 Sc4 Cu8 Ge8'
_symmetry_space_group_name_H-M 'I m m m'
_symmetry_Int_Tables_number 71
_symmetry_space_group_name_Hall '-I 2 2'
_cell_length_a 4.038
_cell_length_b 6.631
_cell_length_c 13.444
_cell_angle_alpha 90.00
_cell_angle_beta 90.00
_cell_angle_gamma 90.00
loop_
_atom_site_label
_atom_site_type_symbol
_atom_site_fract_x
_atom_site_fract_y
_atom_site_fract_z
Lu1 Lu 0.000 0.000 0.000
Sc1 Sc 0.000 0.500 0.127
Cu1 Cu 0.000 0.307 0.328
Ge1 Ge 0.000 0.000 0.220
Ge2 Ge 0.000 0.190 0.500
```

Top 10 peaks for 2θ = 10–90°, by angle:
2θ = 14.9°, intensity 28.7, (0 1 1); 2θ = 25.8°, intensity 18.7, (1 1 0); 2θ = 35.7°, intensity 100.0, (1 2 1); 2θ = 36.0°, intensity 28.3, (0 1 5); 2θ = 37.4°, intensity 84.9, (1 1 4); 2θ = 40.3°, intensity 24.4, (0 0 6); 2θ = 44.9°, intensity 40.8, (2 0 0); 2θ = 45.8°, intensity 31.2, (0 3 3); 2θ = 49.1°, intensity 44.3, (1 2 5); 2θ = 66.1°, intensity 19.8, (2 3 3)

No. 6
# TmLuCu2Ge2
Computed XRD peak list, Cu Kα X-rays. Input: DFT lattice parameters and positions (PBE).
Lines closer than 0.1° are merged.

Structural model:
```
data_TmLuCu2Ge2
_chemical_formula_sum 'Tm1 Lu1 Cu2 Ge2'
_symmetry_space_group_name_H-M 'P 3 m 1'
_symmetry_Int_Tables_number 156
_symmetry_space_group_name_Hall 'P 3 -2"'
_cell_length_a 4.1879
_cell_length_b 4.1879
_cell_length_c 7.2835
_cell_angle_alpha 90.00
_cell_angle_beta 90.00
_cell_angle_gamma 120.00
loop_
_atom_site_label
_atom_site_type_symbol
_atom_site_fract_x
_atom_site_fract_y
_atom_site_fract_z
Tm1 Tm 0.0000 0.0000 0.0000
Lu1 Lu 0.0000 0.0000 0.5000
Cu1 Cu 0.3333 0.6667 0.2309
Cu2 Cu 0.6667 0.3333 0.7305
Ge1 Ge 0.3333 0.6667 0.7654
Ge2 Ge 0.6667 0.3333 0.2658
```

Top 10 peaks for 2θ = 10–90°, by angle:
2θ = 24.5°, intensity 20.1, (1 0 0); 2θ = 34.9°, intensity 100.0, (1 0 2); 2θ = 43.2°, intensity 47.1, (1 1 0); 2θ = 50.1°, intensity 9.3, (0 0 4); 2θ = 56.6°, intensity 5.0, (1 0 4); 2θ = 56.7°, intensity 24.6, (2 0 2); 2θ = 68.3°, intensity 21.6, (1 1 4); 2θ = 73.9°, intensity 22.3, (2 1 2); 2θ = 79.2°, intensity 7.7, (3 0 0); 2θ = 84.1°, intensity 7.2, (1 0 6)

No. 7
# YLuCu2Ge2
Computed XRD peak list, Cu Kα X-rays. Input: DFT lattice parameters and positions (PBE).
Lines closer than 0.1° are merged.

Structural model:
```
data_YLuCu2Ge2
_chemical_formula_sum 'Y1 Lu1 Cu2 Ge2'
_symmetry_space_group_name_H-M 'P 3 m 1'
_symmetry_Int_Tables_number 156
_symmetry_space_group_name_Hall 'P 3 -2"'
_cell_length_a 4.2312
_cell_length_b 4.2312
_cell_length_c 7.1937
_cell_angle_alpha 90.00
_cell_angle_beta 90.00
_cell_angle_gamma 120.00
loop_
_atom_site_label
_atom_site_type_symbol
_atom_site_fract_x
_atom_site_fract_y
_atom_site_fract_z
Y1 Y 0.0000 0.0000 0.0000
Lu1 Lu 0.0000 0.0000 0.5013
Cu1 Cu 0.3333 0.6667 0.7120
Cu2 Cu 0.6667 0.3333 0.2374
Ge1 Ge 0.3333 0.6667 0.2787
Ge2 Ge 0.6667 0.3333 0.7663
```

Top 10 peaks for 2θ = 10–90°, by angle:
2θ = 12.3°, intensity 11.3, (0 0 1); 2θ = 24.3°, intensity 11.2, (1 0 0); 2θ = 27.3°, intensity 8.0, (1 0 1); 2θ = 35.0°, intensity 100.0, (0 1 2); 2θ = 42.7°, intensity 54.0, (1 1 0); 2θ = 50.8°, intensity 8.7, (0 0 4); 2θ = 56.4°, intensity 24.8, (2 0 2); 2θ = 68.5°, intensity 20.6, (1 1 4); 2θ = 73.2°, intensity 22.3, (1 2 2); 2θ = 78.3°, intensity 8.7, (3 0 0)

No. 8
# MgCu2Ge
Computed XRD peak list, Cu Kα X-rays. Input: DFT lattice parameters and positions (PBE).
Lines closer than 0.1° are merged.

Structural model:
```
data_MgCu2Ge
_chemical_formula_sum 'Mg4 Cu8 Ge4'
_symmetry_space_group_name_H-M 'P m -3 m'
_symmetry_Int_Tables_number 221
_symmetry_space_group_name_Hall '-P 4 2 3'
_cell_length_a 6.210
_cell_length_b 6.210
_cell_length_c 6.210
_cell_angle_alpha 90.00
_cell_angle_beta 90.00
_cell_angle_gamma 90.00
loop_
_atom_site_label
_atom_site_type_symbol
_atom_site_fract_x
_atom_site_fract_y
_atom_site_fract_z
Mg1 Mg 0.000 0.000 0.000
Mg2 Mg 0.000 0.000 0.500
Cu1 Cu 0.255 0.255 0.255
Ge1 Ge 0.000 0.500 0.500
Ge2 Ge 0.500 0.500 0.500
```

Top 10 peaks for 2θ = 10–90°, by angle:
2θ = 14.3°, intensity 10.2, (1 0 0); 2θ = 24.8°, intensity 2.7, (1 1 1); 2θ = 28.8°, intensity 3.3, (2 0 0); 2θ = 32.2°, intensity 2.8, (2 1 0); 2θ = 41.1°, intensity 100.0, (2 2 0); 2θ = 43.7°, intensity 2.6, (2 2 1); 2θ = 53.2°, intensity 2.4, (3 2 0); 2θ = 59.5°, intensity 15.7, (4 0 0); 2θ = 74.9°, intensity 30.4, (4 2 2); 2θ = 89.2°, intensity 9.6, (4 4 0)